(1)
For Ce5Sn3, a GGA-PBE-relaxed structure gives the theoretical powder diffraction line list in this record (CuKα).
Kinematic intensities with the Lorentz-polarization factor, no thermal factor.

Top 10 peaks for 2θ = 10–90°, sorted by position:
2θ/deg  I_rel
26.2  194
28.4  168
29.0  297
31.9  1000
32.5  900
33.0  551
42.2  140
47.0  223
49.9  288
64.6  228

```
Ce5Sn3
1.0
8.1442 -4.6906 0.0000
8.1442 4.6906 0.0000
0.0000 0.0000 6.8117
Ce Sn
10 6
Direct
0.1666 0.1666 0.0000 Ce
0.1666 0.1666 0.5000 Ce
0.2493 0.5000 0.2500 Ce
0.2493 0.7507 0.7500 Ce
0.5000 0.2493 0.7500 Ce
0.5000 0.7507 0.2500 Ce
0.7507 0.2493 0.2500 Ce
0.7507 0.5000 0.7500 Ce
0.8334 0.8334 0.0000 Ce
0.8334 0.8334 0.5000 Ce
0.1101 0.4999 0.7500 Sn
0.1102 0.8898 0.2500 Sn
0.4999 0.1101 0.2500 Sn
0.5001 0.8899 0.7500 Sn
0.8898 0.1102 0.7500 Sn
0.8899 0.5001 0.2500 Sn
```

***

(2)
For Sc4Si6Ir7, a GGA-PBE-relaxed structure gives the theoretical powder diffraction line list in this record (CuKα).
Kinematic intensities with the Lorentz-polarization factor, no thermal factor.

Top 10 peaks for 2θ = 10–90°, sorted by position:
2θ/deg  I_rel
15.5  253
22.0  383
27.1  1000
38.6  875
41.9  866
44.9  725
53.2  280
65.4  436
72.1  253
78.6  286

```
Sc4Si6Ir7
1.0
-4.0363 4.0363 4.0363
4.0363 -4.0363 4.0363
4.0363 4.0363 -4.0363
Sc Si Ir
4 6 7
Direct
0.0000 0.0000 0.5000 Sc
0.0000 0.5000 0.0000 Sc
0.5000 0.0000 0.0000 Sc
0.5000 0.5000 0.5000 Sc
0.0000 0.3174 0.3174 Si
0.0000 0.6826 0.6826 Si
0.3174 0.0000 0.3174 Si
0.3174 0.3174 0.0000 Si
0.6826 0.0000 0.6826 Si
0.6826 0.6826 0.0000 Si
0.0000 0.0000 0.0000 Ir
0.2500 0.5000 0.7500 Ir
0.2500 0.7500 0.5000 Ir
0.5000 0.2500 0.7500 Ir
0.5000 0.7500 0.2500 Ir
0.7500 0.2500 0.5000 Ir
0.7500 0.5000 0.2500 Ir
```

***

(3)
For ZnCr2S4, a GGA-PBE-relaxed structure gives the theoretical powder diffraction line list in this record (CuKα).
Kinematic intensities with the Lorentz-polarization factor, no thermal factor.

Top 10 peaks for 2θ = 10–90°, sorted by position:
2θ/deg  I_rel
15.3  413
18.3  144
35.4  1000
37.0  451
50.6  157
51.4  155
52.2  593
64.3  143
65.0  144
89.4  126

```
ZnCr2S4
1.0
-3.5527 3.6109 4.8607
3.5527 -3.6109 4.8607
3.5527 3.6109 -4.8607
Zn Cr S
2 4 8
Direct
0.0000 0.0000 0.0000 Zn
0.5000 0.0000 0.5000 Zn
0.0000 0.5000 0.5000 Cr
0.5000 0.0000 0.0000 Cr
0.5000 0.5000 0.0000 Cr
0.5000 0.5000 0.5000 Cr
0.2558 0.2719 0.5161 S
0.2558 0.7397 0.9839 S
0.2741 0.7498 0.5243 S
0.2745 0.2502 0.0243 S
0.7255 0.7498 0.9757 S
0.7259 0.2502 0.4757 S
0.7442 0.2603 0.0161 S
0.7442 0.7281 0.4839 S
```

***

(4)
For MgTe4MoW3S4, a GGA-PBE-relaxed structure gives the theoretical powder diffraction line list in this record (CuKα).
Kinematic intensities with the Lorentz-polarization factor, no thermal factor.

Top 10 peaks for 2θ = 10–90°, sorted by position:
2θ/deg  I_rel
11.6  1000
13.9  204
30.9  417
33.0  133
36.3  805
39.0  153
43.9  374
45.7  121
54.8  240
67.5  130

```
MgTe4MoW3S4
1.0
3.3491 0.0000 0.0000
1.6744 2.9008 0.0000
0.0011 0.0048 38.0967
Mg Te Mo W S
1 4 1 3 4
Direct
0.0000 0.0000 0.0000 Mg
0.6246 0.6862 0.1681 Te
0.6246 0.6861 0.2675 Te
0.9577 0.0194 0.7319 Te
0.9578 0.0191 0.8318 Te
0.9579 0.0195 0.2178 Mo
0.6244 0.6860 0.4062 W
0.6244 0.6859 0.7819 W
0.9579 0.0195 0.5935 W
0.6246 0.6863 0.5536 S
0.6246 0.6862 0.6334 S
0.9577 0.0195 0.3664 S
0.9577 0.0193 0.4461 S
```

***

(5)
For NaLi3Ga4Si8O24, a GGA-PBE-relaxed structure gives the theoretical powder diffraction line list in this record (CuKα).
Kinematic intensities with the Lorentz-polarization factor, no thermal factor.

Top 10 peaks for 2θ = 10–90°, sorted by position:
2θ/deg  I_rel
14.1  722
19.9  377
20.4  245
25.1  289
29.7  1000
31.1  594
35.4  225
35.8  342
37.1  310
55.8  262

```
NaLi3Ga4Si8O24
1.0
5.8735 -4.3511 0.0000
5.8735 4.3511 0.0000
-5.0339 0.0000 8.3026
Na Li Ga Si O
1 3 4 8 24
Direct
0.0000 0.0000 0.0000 Na
0.3149 0.1854 0.7504 Li
0.5220 0.4780 0.5000 Li
0.8146 0.6851 0.2496 Li
0.3939 0.6061 0.0000 Ga
0.4451 0.0561 0.2508 Ga
0.8938 0.1062 0.5000 Ga
0.9439 0.5549 0.7492 Ga
0.1345 0.3664 0.0435 Si
0.1369 0.3673 0.4565 Si
0.2019 0.7952 0.2948 Si
0.2048 0.7981 0.7052 Si
0.6327 0.8631 0.5435 Si
0.6336 0.8655 0.9565 Si
0.7000 0.2969 0.7923 Si
0.7031 0.3000 0.2077 Si
0.0700 0.0029 0.6716 O
0.0755 0.3170 0.5824 O
0.1482 0.5612 0.2103 O
0.1584 0.7294 0.8287 O
0.1823 0.4261 0.9161 O
0.1872 0.6030 0.5375 O
0.2706 0.8416 0.1713 O
0.2772 0.1677 0.0819 O
0.3404 0.2330 0.4209 O
0.3970 0.8128 0.4625 O
0.4388 0.8518 0.7897 O
0.4964 0.4281 0.8284 O
0.5719 0.5036 0.1716 O
0.5739 0.8177 0.0839 O
0.6520 0.0599 0.7107 O
0.6560 0.2388 0.3351 O
0.6826 0.1025 0.0405 O
0.6830 0.9245 0.4176 O
0.7612 0.3440 0.6649 O
0.7670 0.6596 0.5791 O
0.8323 0.7228 0.9181 O
0.8975 0.3174 0.9595 O
0.9401 0.3480 0.2893 O
0.9971 0.9300 0.3284 O
```

***

(6)
For Y7Cu3Te12, a GGA-PBE-relaxed structure gives the theoretical powder diffraction line list in this record (CuKα).
Kinematic intensities with the Lorentz-polarization factor, no thermal factor.

Top 10 peaks for 2θ = 10–90°, sorted by position:
2θ/deg  I_rel
24.0  94
25.1  119
25.3  107
27.9  1000
31.8  175
38.3  106
41.5  592
43.5  98
43.7  87
67.5  104

```
Y7Cu3Te12
1.0
7.5353 0.0000 0.0000
3.7671 6.5406 0.0000
2.5592 -0.0576 14.0746
Y Cu Te
7 3 12
Direct
0.0000 0.0000 0.0000 Y
0.0826 0.6696 0.7458 Y
0.1679 0.3406 0.4939 Y
0.3269 0.3357 0.9997 Y
0.4951 0.6680 0.4939 Y
0.6665 0.6728 0.9998 Y
0.8377 0.9979 0.4938 Y
0.5564 0.3372 0.3200 Cu
0.6048 0.0012 0.1787 Cu
0.9398 0.3361 0.1785 Cu
0.0392 0.3360 0.8737 Te
0.1228 0.0030 0.6229 Te
0.2080 0.6699 0.3672 Te
0.2879 0.0001 0.1300 Te
0.3743 0.6676 0.8734 Te
0.4575 0.3355 0.6226 Te
0.5425 0.9988 0.3677 Te
0.6169 0.3407 0.1284 Te
0.7074 0.0029 0.8737 Te
0.7899 0.6697 0.6229 Te
0.8791 0.3349 0.3676 Te
0.9564 0.6697 0.1306 Te
```

***

(7)
For CsSb, a GGA-PBE-relaxed structure gives the theoretical powder diffraction line list in this record (CuKα).
Kinematic intensities with the Lorentz-polarization factor, no thermal factor.

Top 10 peaks for 2θ = 10–90°, sorted by position:
2θ/deg  I_rel
12.4  318
23.2  348
24.5  1000
24.8  697
25.9  501
26.3  674
27.3  829
27.6  384
28.7  491
36.5  261

```
CsSb
1.0
15.6261 0.0000 0.0000
0.0000 7.5434 0.0000
-5.7997 0.0000 13.3577
Cs Sb
16 16
Direct
0.1088 0.1880 0.4716 Cs
0.1088 0.3120 0.9716 Cs
0.1573 0.5890 0.6824 Cs
0.1573 0.9110 0.1824 Cs
0.3563 0.6446 0.0410 Cs
0.3563 0.8554 0.5410 Cs
0.3688 0.1190 0.8542 Cs
0.3688 0.3810 0.3542 Cs
0.6312 0.6190 0.6458 Cs
0.6312 0.8810 0.1458 Cs
0.6437 0.1446 0.4590 Cs
0.6437 0.3554 0.9590 Cs
0.8427 0.0890 0.8176 Cs
0.8427 0.4110 0.3176 Cs
0.8912 0.6880 0.0284 Cs
0.8912 0.8120 0.5284 Cs
0.0691 0.6916 0.3667 Sb
0.0691 0.8084 0.8667 Sb
0.0894 0.0748 0.7301 Sb
0.0894 0.4252 0.2301 Sb
0.4106 0.1282 0.1465 Sb
0.4106 0.3718 0.6465 Sb
0.4313 0.6338 0.8019 Sb
0.4313 0.8662 0.3019 Sb
0.5687 0.1338 0.6981 Sb
0.5687 0.3662 0.1981 Sb
0.5894 0.6282 0.3535 Sb
0.5894 0.8718 0.8535 Sb
0.9106 0.5748 0.7699 Sb
0.9106 0.9252 0.2699 Sb
0.9309 0.1916 0.1333 Sb
0.9309 0.3084 0.6333 Sb
```